(1)
This entry pairs a crystal structure of TmNiSe with its computed X-ray diffraction stick pattern. Radiation: a wavelength of 1.5418 Å. Structure: a crystal structure in Alexandria, relaxed with GGA-PBE.

The 8 most intense peaks (2θ from 10° to 90°), sorted by position:
- (1 1 1), 28.73°, d = 3.107 Å, I 31.5
- (2 0 1), 33.14°, d = 2.703 Å, I 100.0
- (2 1 1), 35.16°, d = 2.552 Å, I 57.9
- (3 1 0), 36.66°, d = 2.452 Å, I 80.7
- (2 2 1), 40.69°, d = 2.217 Å, I 62.3
- (1 3 1), 44.06°, d = 2.055 Å, I 37.6
- (0 0 2), 48.26°, d = 1.886 Å, I 32.0
- (3 1 2), 62.10°, d = 1.495 Å, I 34.7

Crystal structure
Cell: 7.7524 7.7524 3.7712 Å, 90.00 90.00 90.00°
Space group P4_2/m (No. 84)
Inequivalent atoms, fractional coordinates:
Tm 0.0721 0.7166 0.0000 x4
Ni 0.3615 0.3886 0.0000 x4
Se 0.1804 0.4162 0.5000 x4


(2)
This entry pairs a crystal structure of U8NiSe17 with its computed X-ray diffraction stick pattern. Radiation: a wavelength of 1.5418 Å. Structure: a crystal structure in Alexandria, relaxed with GGA-PBE.

The 8 most intense peaks (2θ from 10° to 90°), sorted by position:
- (2 2 0), 24.25°, d = 3.670 Å, I 100.0
- (2 2 -1), 24.76°, d = 3.597 Å, I 90.1
- (4 2 -1), 33.17°, d = 2.701 Å, I 66.0
- (0 0 4), 33.97°, d = 2.639 Å, I 97.4
- (4 2 1), 35.98°, d = 2.496 Å, I 60.4
- (3 3 -1), 36.74°, d = 2.446 Å, I 60.9
- (4 2 -3), 38.73°, d = 2.325 Å, I 98.9
- (0 4 0), 41.34°, d = 2.184 Å, I 71.7

Crystal structure
Cell: 13.8501 8.7355 10.8012 Å, 90.00 102.18 90.00°
Space group C2/m (No. 12)
Inequivalent atoms, fractional coordinates:
U 0.0634 0.2419 0.2017 x8
U 0.1787 0.5000 0.5133 x4
U 0.2007 0.0000 0.9549 x4
Ni 0.0000 0.0000 0.5000 x2
Se 0.0000 0.0000 0.0000 x2
Se 0.0197 0.5000 0.6707 x4
Se 0.0508 0.0000 0.7225 x4
Se 0.1268 0.3081 0.9627 x8
Se 0.1358 0.1868 0.4742 x8
Se 0.2030 0.5000 0.2565 x4
Se 0.2171 0.0000 0.2224 x4


(3)
This entry pairs a crystal structure of Y2Ni2Se with its computed X-ray diffraction stick pattern. Radiation: a wavelength of 1.5418 Å. Structure: a crystal structure in Alexandria, relaxed with GGA-PBE.

The 8 most intense peaks (2θ from 10° to 90°), sorted by position:
- (0 1 2), 27.09°, d = 3.292 Å, I 18.2
- (0 1 5), 32.71°, d = 2.738 Å, I 100.0
- (1 0 7), 38.23°, d = 2.354 Å, I 57.2
- (1 1 0), 45.67°, d = 1.987 Å, I 61.5
- (0 0 12), 48.34°, d = 1.883 Å, I 17.0
- (2 0 5), 57.30°, d = 1.608 Å, I 19.1
- (1 1 12), 68.68°, d = 1.367 Å, I 33.9
- (1 2 5), 76.17°, d = 1.250 Å, I 16.0

Crystal structure
Cell: 3.9732 3.9732 22.5935 Å, 90.00 90.00 120.00°
Space group R-3m (No. 166, hexagonal axes)
Inequivalent atoms, fractional coordinates:
Y 0.0000 0.0000 0.0826 x6
Ni 0.0000 0.0000 0.3306 x6
Se 0.0000 0.0000 0.5000 x3


(4)
This entry pairs a crystal structure of ZnNi5Se8 with its computed X-ray diffraction stick pattern. Radiation: a wavelength of 1.5418 Å. Structure: a crystal structure in Alexandria, relaxed with GGA-PBE.

The 8 most intense peaks (2θ from 10° to 90°), sorted by position:
- (1 1 1), 15.11°, d = 5.865 Å, I 18.1
- (2 2 0), 24.79°, d = 3.591 Å, I 17.5
- (3 1 1), 29.16°, d = 3.063 Å, I 42.4
- (2 2 2), 30.49°, d = 2.932 Å, I 38.0
- (4 0 0), 35.35°, d = 2.539 Å, I 81.5
- (5 1 1), 46.45°, d = 1.955 Å, I 40.3
- (4 4 0), 50.85°, d = 1.796 Å, I 100.0
- (8 4 0), 85.50°, d = 1.136 Å, I 18.4

Crystal structure
Cell: 10.1578 10.1578 10.1578 Å, 90.00 90.00 90.00°
Space group F-43m (No. 216)
Inequivalent atoms, fractional coordinates:
Zn 0.0000 0.0000 0.0000 x4
Ni 0.1236 0.1236 0.6236 x16
Ni 0.2500 0.2500 0.2500 x4
Se 0.1154 0.1154 0.3846 x16
Se 0.1385 0.1385 0.8615 x16


(5)
This entry pairs a crystal structure of ZrNiSe with its computed X-ray diffraction stick pattern. Radiation: a wavelength of 1.5418 Å. Structure: a crystal structure in Alexandria, relaxed with GGA-PBE.

The 8 most intense peaks (2θ from 10° to 90°), sorted by position:
- (1 0 1), 36.03°, d = 2.493 Å, I 100.0
- (1 1 0), 46.25°, d = 1.963 Å, I 49.7
- (0 0 2), 49.74°, d = 1.833 Å, I 13.3
- (2 0 1), 59.98°, d = 1.542 Å, I 21.7
- (1 1 2), 70.26°, d = 1.340 Å, I 27.2
- (2 1 1), 78.94°, d = 1.213 Å, I 19.1
- (1 0 3), 84.19°, d = 1.150 Å, I 8.1
- (3 0 0), 85.72°, d = 1.133 Å, I 8.0

Crystal structure
Cell: 3.9261 3.9261 3.6660 Å, 90.00 90.00 120.00°
Space group P-6m2 (No. 187)
Inequivalent atoms, fractional coordinates:
Zr 0.0000 0.0000 0.0000 x1
Ni 0.6667 0.3333 0.5000 x1
Se 0.3333 0.6667 0.5000 x1


(6)
This entry pairs a crystal structure of ZrNiSe3 with its computed X-ray diffraction stick pattern. Radiation: a wavelength of 1.5418 Å. Structure: a crystal structure in Alexandria, relaxed with GGA-PBE.

The 8 most intense peaks (2θ from 10° to 90°), sorted by position:
- (0 1 1), 14.87°, d = 5.959 Å, I 47.0
- (0 4 0), 16.01°, d = 5.537 Å, I 80.0
- (1 1 1), 28.51°, d = 3.130 Å, I 52.7
- (1 3 1), 30.76°, d = 2.907 Å, I 100.0
- (0 7 1), 31.76°, d = 2.817 Å, I 42.5
- (1 4 2), 41.48°, d = 2.177 Å, I 60.6
- (1 10 0), 47.94°, d = 1.897 Å, I 65.8
- (1 3 3), 52.36°, d = 1.748 Å, I 45.3

Crystal structure
Cell: 3.6788 22.1483 6.1872 Å, 90.00 90.00 90.00°
Space group Ama2 (No. 40)
Inequivalent atoms, fractional coordinates:
Zr 0.2500 0.1654 0.0000 x4
Ni 0.2500 0.3750 0.8480 x4
Se 0.2500 0.0672 0.2422 x4
Se 0.2500 0.2733 0.7328 x4
Se 0.2500 0.3743 0.2243 x4


(7)
This entry pairs a crystal structure of Si2Ni with its computed X-ray diffraction stick pattern. Radiation: a wavelength of 1.5418 Å. Structure: a crystal structure in Alexandria, relaxed with GGA-PBE.

The 8 most intense peaks (2θ from 10° to 90°), sorted by position:
- (1 0 2), 28.87°, d = 3.092 Å, I 54.8
- (0 1 1), 28.99°, d = 3.080 Å, I 38.2
- (1 1 1), 32.33°, d = 2.769 Å, I 48.6
- (1 1 2), 39.28°, d = 2.293 Å, I 47.3
- (2 1 1), 40.91°, d = 2.206 Å, I 100.0
- (1 1 3), 49.02°, d = 1.858 Å, I 43.1
- (3 0 2), 50.37°, d = 1.812 Å, I 63.0
- (0 2 0), 53.61°, d = 1.710 Å, I 38.7

Crystal structure
Cell: 6.3222 3.4193 7.0903 Å, 90.00 90.00 90.00°
Space group Pnma (No. 62)
Inequivalent atoms, fractional coordinates:
Si 0.0412 0.2500 0.1508 x4
Si 0.1211 0.2500 0.5733 x4
Ni 0.2502 0.2500 0.8750 x4


(8)
This entry pairs a crystal structure of SiNi4 with its computed X-ray diffraction stick pattern. Radiation: a wavelength of 1.5418 Å. Structure: a crystal structure in Alexandria, relaxed with GGA-PBE.

The 8 most intense peaks (2θ from 10° to 90°), sorted by position:
- (1 1 0), 22.94°, d = 3.877 Å, I 4.5
- (1 0 1), 29.74°, d = 3.004 Å, I 4.3
- (2 0 0), 32.66°, d = 2.742 Å, I 2.5
- (2 1 1), 44.76°, d = 2.025 Å, I 100.0
- (0 0 2), 50.86°, d = 1.795 Å, I 16.4
- (1 3 0), 52.80°, d = 1.734 Å, I 29.4
- (1 3 2), 76.36°, d = 1.247 Å, I 18.7
- (4 2 0), 77.92°, d = 1.226 Å, I 8.5

Crystal structure
Cell: 5.4832 5.4832 3.5903 Å, 90.00 90.00 90.00°
Space group I4/m (No. 87)
Inequivalent atoms, fractional coordinates:
Si 0.0000 0.0000 0.0000 x2
Ni 0.1035 0.3006 0.5000 x8


Question: What is the formula in the fifth record?
Answer: ZrNiSe